Theoretical powder X-ray diffraction pattern of Cs2AcPtO4 for copper Kα, from a crystal structure in Alexandria, relaxed with GGA-PBE.

Peak list (12 most intense, 2θ from 5° to 70°, low angle first)
2theta, d/Å, intensity
14.0, 6.334, 55.8
14.2, 6.244, 100.0
18.2, 4.886, 25.6
24.2, 3.675, 48.0
24.6, 3.622, 94.3
29.6, 3.017, 63.6
33.0, 2.717, 34.1
34.6, 2.590, 28.7
38.1, 2.365, 35.5
42.7, 2.117, 46.2
46.1, 1.969, 26.9
52.2, 1.752, 25.2

Crystal structure
```
data_Cs2AcPtO4
_cell_length_a 14.4893
_cell_length_b 12.9180
_cell_length_c 8.0599
_cell_angle_alpha 83.96
_cell_angle_beta 62.45
_cell_angle_gamma 33.59
_symmetry_space_group_name_H-M 'P 1'
_symmetry_Int_Tables_number 1
loop_
_symmetry_equiv_pos_as_xyz
'x,y,z'
loop_
_atom_site_label
_atom_site_type_symbol
_atom_site_fract_x
_atom_site_fract_y
_atom_site_fract_z
Cs1 Cs 0.0622 0.0622 0.6878
Cs2 Cs 0.3122 0.3122 0.9378
Cs3 Cs 0.6878 0.6878 0.0622
Cs4 Cs 0.9378 0.9378 0.3122
Ac1 Ac 0.1250 0.1250 0.1250
Ac2 Ac 0.8750 0.8750 0.8750
Pt1 Pt 0.3750 0.3750 0.3750
Pt2 Pt 0.6250 0.6250 0.6250
O1 O 0.0597 0.6905 0.5005
O2 O 0.2494 0.5005 0.6905
O3 O 0.3095 0.9403 0.7506
O4 O 0.5005 0.2494 0.0597
O5 O 0.4995 0.7506 0.9403
O6 O 0.6905 0.0597 0.2494
O7 O 0.7506 0.4995 0.3095
O8 O 0.9403 0.3095 0.4995
```



Theoretical powder X-ray diffraction pattern of PrHoInN3 for copper Kα, from a crystal structure in Alexandria, relaxed with GGA-PBE.

Peak list (12 most intense, 2θ from 5° to 70°, low angle first)
2theta, d/Å, intensity
15.7, 5.631, 33.9
26.9, 3.318, 36.4
27.8, 3.204, 30.8
30.5, 2.928, 39.7
31.3, 2.856, 36.0
31.8, 2.816, 25.9
32.4, 2.762, 100.0
37.9, 2.377, 59.4
40.6, 2.220, 22.3
55.9, 1.644, 22.6
59.4, 1.556, 22.9
62.2, 1.492, 22.0

Crystal structure
```
data_PrHoInN3
_cell_length_a 6.6558
_cell_length_b 3.4058
_cell_length_c 9.4593
_cell_angle_alpha 90.00
_cell_angle_beta 94.32
_cell_angle_gamma 90.00
_symmetry_space_group_name_H-M 'P 1'
_symmetry_Int_Tables_number 1
loop_
_symmetry_equiv_pos_as_xyz
'x,y,z'
loop_
_atom_site_label
_atom_site_type_symbol
_atom_site_fract_x
_atom_site_fract_y
_atom_site_fract_z
Pr1 Pr 0.1917 0.2500 0.2430
Pr2 Pr 0.8083 0.7500 0.7570
Ho1 Ho 0.3350 0.7500 0.8931
Ho2 Ho 0.6650 0.2500 0.1069
In1 In 0.1696 0.2500 0.5921
In2 In 0.8304 0.7500 0.4079
N1 N 0.1077 0.2500 0.8158
N2 N 0.1973 0.7500 0.4527
N3 N 0.4047 0.7500 0.1290
N4 N 0.5953 0.2500 0.8710
N5 N 0.8027 0.2500 0.5473
N6 N 0.8923 0.7500 0.1842
```



Theoretical powder X-ray diffraction pattern of LaEr3 for copper Kα, from a crystal structure in Alexandria, relaxed with GGA-PBE.

Peak list (9 most intense, 2θ from 5° to 70°, low angle first)
2theta, d/Å, intensity
19.6, 4.529, 0.6
30.6, 2.919, 100.0
35.4, 2.537, 34.1
35.8, 2.510, 16.6
50.9, 1.794, 12.2
51.2, 1.784, 24.0
60.6, 1.528, 28.9
61.1, 1.517, 14.1
63.8, 1.460, 12.4

Crystal structure
```
data_LaEr3
_cell_length_a 6.1709
_cell_length_b 6.1709
_cell_length_c 6.1709
_cell_angle_alpha 131.45
_cell_angle_beta 131.45
_cell_angle_gamma 71.10
_symmetry_space_group_name_H-M 'P 1'
_symmetry_Int_Tables_number 1
loop_
_symmetry_equiv_pos_as_xyz
'x,y,z'
loop_
_atom_site_label
_atom_site_type_symbol
_atom_site_fract_x
_atom_site_fract_y
_atom_site_fract_z
La1 La 0.0000 0.0000 0.0000
Er1 Er 0.2500 0.7500 0.5000
Er2 Er 0.5000 0.5000 0.0000
Er3 Er 0.7500 0.2500 0.5000
```